Calculated powder diffraction line list
Compound: Sc3BeC3
Radiation: Cu Ka
Structure: a GGA-PBE-relaxed structure
No peak broadening, texture or thermal motion is included.

Atomic structure:
```
data_Sc3BeC3
_chemical_formula_sum 'Sc12 Be4 C12'
_symmetry_space_group_name_H-M 'P 1'
_symmetry_Int_Tables_number 1
_symmetry_space_group_name_Hall 'P 1'
_cell_length_a 10.102
_cell_length_b 3.272
_cell_length_c 10.068
_cell_angle_alpha 90.00
_cell_angle_beta 90.00
_cell_angle_gamma 90.00
loop_
_atom_site_label
_atom_site_type_symbol
_atom_site_fract_x
_atom_site_fract_y
_atom_site_fract_z
_atom_site_occupancy
Sc1 Sc 0.086 0.250 0.104 1
Sc2 Sc 0.129 0.750 0.501 1
Sc3 Sc 0.201 0.750 0.797 1
Sc4 Sc 0.299 0.250 0.297 1
Sc5 Sc 0.371 0.250 0.001 1
Sc6 Sc 0.414 0.750 0.604 1
Sc7 Sc 0.586 0.250 0.396 1
Sc8 Sc 0.629 0.750 0.999 1
Sc9 Sc 0.701 0.750 0.703 1
Sc10 Sc 0.799 0.250 0.203 1
Sc11 Sc 0.871 0.250 0.499 1
Sc12 Sc 0.914 0.750 0.896 1
Be1 Be 0.032 0.250 0.698 1
Be2 Be 0.468 0.750 0.198 1
Be3 Be 0.532 0.250 0.802 1
Be4 Be 0.968 0.750 0.302 1
C1 C 0.046 0.250 0.354 1
C2 C 0.075 0.250 0.880 1
C3 C 0.227 0.250 0.628 1
C4 C 0.273 0.750 0.128 1
C5 C 0.425 0.750 0.380 1
C6 C 0.454 0.750 0.854 1
C7 C 0.546 0.250 0.146 1
C8 C 0.575 0.250 0.620 1
C9 C 0.727 0.250 0.872 1
C10 C 0.773 0.750 0.372 1
C11 C 0.925 0.750 0.120 1
C12 C 0.954 0.750 0.646 1
```

Main lines, in order of falling intensity (15° ≤ 2θ ≤ 90°):
two_theta  I (rel.)  hkl
39.45  100  3 1 1
49.09  52  2 1 4
28.69  38  0 1 1
28.00  31  1 0 3
45.36  31  4 1 0
32.01  28  2 0 3
39.96  27  4 0 2
42.53  26  2 1 3
37.85  25  3 0 3
36.69  24  4 0 1